Computed powder diffraction line list
Compound: CaV6O11F
Radiation: λ = 1.5418 Å (Cu Kα)
Structure: a crystal structure in the Materials Project, relaxed with GGA+U
Kinematic intensities with the Lorentz-polarization factor, no thermal factor.

Main lines, in order of rising 2θ (15° ≤ 2θ ≤ 90°):
(1 1 0), d = 4.176 Å, I = 91
(1 -1 0), d = 3.214 Å, I = 100
(1 1 2), d = 3.061 Å, I = 18
(1 1 -2), d = 2.932 Å, I = 17
(1 0 3), d = 2.505 Å, I = 19
(1 0 -3), d = 2.465 Å, I = 20
(1 1 3), d = 2.410 Å, I = 15
(1 1 -3), d = 2.316 Å, I = 22
(2 2 3), d = 1.723 Å, I = 19
(2 -1 3), d = 1.672 Å, I = 14
(2 2 -3), d = 1.654 Å, I = 15
(0 0 6), d = 1.432 Å, I = 14

```
data_CaV6O11F
_chemical_formula_sum 'Ca1 V6 O11 F1'
_cell_length_a 5.168
_cell_length_b 5.385
_cell_length_c 8.601
_cell_angle_alpha 87.72
_cell_angle_beta 88.36
_cell_angle_gamma 75.11
_space_group_name_H-M_alt 'P 1'
_space_group_IT_number 1
loop_
_space_group_symop_operation_xyz
'x,y,z'
loop_
_atom_site_label
_atom_site_fract_x
_atom_site_fract_y
_atom_site_fract_z
Ca1 0.000 0.000 0.000
V1 0.253 0.970 0.513
V2 0.433 0.160 0.194
V3 0.436 0.160 0.818
V4 0.811 0.562 0.015
V5 0.852 0.571 0.349
V6 0.856 0.569 0.686
O1 0.035 0.754 0.513
O2 0.142 0.241 0.672
O3 0.154 0.246 0.352
O4 0.195 0.310 0.018
O5 0.520 0.872 0.349
O6 0.521 0.864 0.676
O7 0.548 0.918 0.015
O8 0.670 0.350 0.190
O9 0.693 0.366 0.852
O10 0.985 0.709 0.178
O11 0.994 0.711 0.830
F1 0.675 0.415 0.527
```

Computed powder diffraction line list
Compound: Li9Mn2Co5O16
Radiation: λ = 1.5418 Å (Cu Kα)
Structure: a crystal structure in the Materials Project, relaxed with GGA+U
Kinematic intensities with the Lorentz-polarization factor, no thermal factor.

Main lines, in order of rising 2θ (15° ≤ 2θ ≤ 90°):
(0 0 2), d = 4.857 Å, I = 100
(4 0 -2), d = 2.503 Å, I = 15
(2 2 0), d = 2.493 Å, I = 26
(4 0 0), d = 2.393 Å, I = 11
(4 0 -4), d = 2.086 Å, I = 28
(2 2 2), d = 2.077 Å, I = 54
(2 2 -4), d = 1.912 Å, I = 14
(2 2 4), d = 1.607 Å, I = 10
(2 2 -6), d = 1.479 Å, I = 22
(6 2 -2), d = 1.464 Å, I = 15
(0 4 0), d = 1.460 Å, I = 7
(4 4 -4), d = 1.196 Å, I = 7

```
data_Li9Mn2Co5O16
_chemical_formula_sum 'Li18 Mn4 Co10 O32'
_cell_length_a 10.156
_cell_length_b 5.840
_cell_length_c 10.297
_cell_angle_alpha 90.00
_cell_angle_beta 109.37
_cell_angle_gamma 90.00
_space_group_name_H-M_alt 'C 1 2/m 1'
_space_group_IT_number 12
loop_
_space_group_symop_operation_xyz
'x,y,z'
'-x,-y,-z'
'-x,y,-z'
'x,-y,z'
'x+1/2,y+1/2,z'
'-x+1/2,-y+1/2,-z'
'-x+1/2,y+1/2,-z'
'x+1/2,-y+1/2,z'
loop_
_atom_site_label
_atom_site_fract_x
_atom_site_fract_y
_atom_site_fract_z
Li1 0.000 0.000 0.000
Li2 0.001 0.246 0.242
Li3 0.240 0.000 0.235
Li4 0.247 0.500 0.242
Mn1 0.000 0.000 0.500
Mn2 0.000 0.500 0.000
Co1 0.000 0.500 0.500
Co2 0.250 0.250 0.000
Co3 0.250 0.250 0.500
O1 0.117 0.239 0.613
O2 0.119 0.000 0.384
O3 0.119 0.500 0.883
O4 0.120 0.265 0.113
O5 0.136 0.500 0.388
O6 0.141 0.000 0.892
```

Computed powder diffraction line list
Compound: Li9Mn2Co5O16
Radiation: λ = 1.5418 Å (Cu Kα)
Structure: a crystal structure in the Materials Project, relaxed with GGA+U
Kinematic intensities with the Lorentz-polarization factor, no thermal factor.

Main lines, in order of rising 2θ (15° ≤ 2θ ≤ 90°):
(1 0 1), d = 4.796 Å, I = 100
(1 2 0), d = 2.556 Å, I = 16
(1 0 -3), d = 2.437 Å, I = 23
(2 0 2), d = 2.396 Å, I = 9
(2 2 1), d = 2.139 Å, I = 30
(-2 2 1), d = 2.023 Å, I = 50
(3 -2 0), d = 1.567 Å, I = 9
(2 2 5), d = 1.473 Å, I = 7
(0 4 2), d = 1.470 Å, I = 15
(2 2 -3), d = 1.468 Å, I = 7
(2 -2 3), d = 1.446 Å, I = 7
(-2 2 5), d = 1.416 Å, I = 7

```
data_Li9Mn2Co5O16
_chemical_formula_sum 'Li9 Mn2 Co5 O16'
_cell_length_a 5.887
_cell_length_b 5.890
_cell_length_c 8.583
_cell_angle_alpha 70.62
_cell_angle_beta 87.99
_cell_angle_gamma 86.79
_space_group_name_H-M_alt 'P -1'
_space_group_IT_number 2
loop_
_space_group_symop_operation_xyz
'x,y,z'
'-x,-y,-z'
loop_
_atom_site_label
_atom_site_fract_x
_atom_site_fract_y
_atom_site_fract_z
Li1 0.000 0.000 0.000
Li2 0.000 0.500 0.000
Li3 0.255 0.367 0.759
Li4 0.255 0.874 0.758
Li5 0.497 0.750 0.501
Li6 0.500 0.000 0.000
Mn1 0.255 0.634 0.246
Co1 0.003 0.251 0.502
Co2 0.255 0.130 0.248
Co3 0.500 0.500 0.000
O1 0.003 0.858 0.257
O2 0.032 0.380 0.262
O3 0.236 0.020 0.489
O4 0.237 0.522 0.489
O5 0.255 0.734 0.012
O6 0.274 0.261 0.019
O7 0.466 0.869 0.251
O8 0.499 0.403 0.240
```

Computed powder diffraction line list
Compound: Sr6MgW4O18
Radiation: λ = 1.5418 Å (Cu Kα)
Structure: a crystal structure in the Materials Project, relaxed with GGA+U
Kinematic intensities with the Lorentz-polarization factor, no thermal factor.

Main lines, in order of rising 2θ (15° ≤ 2θ ≤ 90°):
(1 0 1), d = 5.489 Å, I = 20
(1 0 -1), d = 5.159 Å, I = 47
(1 -1 0), d = 4.938 Å, I = 93
(-1 1 2), d = 3.472 Å, I = 24
(1 2 1), d = 3.402 Å, I = 53
(0 2 2), d = 3.279 Å, I = 29
(2 1 1), d = 3.119 Å, I = 29
(1 -1 2), d = 3.021 Å, I = 35
(1 1 -2), d = 2.935 Å, I = 100
(1 -2 1), d = 2.812 Å, I = 25
(0 3 3), d = 2.186 Å, I = 21
(-1 2 5), d = 1.656 Å, I = 19

```
data_Sr6MgW4O18
_chemical_formula_sum 'Sr6 Mg1 W4 O18'
_cell_length_a 6.830
_cell_length_b 7.703
_cell_length_c 8.886
_cell_angle_alpha 73.68
_cell_angle_beta 85.73
_cell_angle_gamma 87.21
_space_group_name_H-M_alt 'P -1'
_space_group_IT_number 2
loop_
_space_group_symop_operation_xyz
'x,y,z'
'-x,-y,-z'
loop_
_atom_site_label
_atom_site_fract_x
_atom_site_fract_y
_atom_site_fract_z
Sr1 0.099 0.238 0.019
Sr2 0.240 0.154 0.484
Sr3 0.361 0.694 0.265
Mg1 0.500 0.500 0.000
W1 0.176 0.618 0.675
W2 0.356 0.854 0.842
O1 0.086 0.440 0.257
O2 0.113 0.886 0.713
O3 0.131 0.748 0.471
O4 0.204 0.915 0.013
O5 0.223 0.590 0.916
O6 0.269 0.397 0.648
O7 0.452 0.258 0.996
O8 0.459 0.687 0.684
O9 0.497 0.967 0.303
```

Computed powder diffraction line list
Compound: MgMn3Cu2O8
Radiation: λ = 1.5418 Å (Cu Kα)
Structure: a crystal structure in the Materials Project, relaxed with GGA+U
Kinematic intensities with the Lorentz-polarization factor, no thermal factor.

Main lines, in order of rising 2θ (15° ≤ 2θ ≤ 90°):
(2 0 0), d = 5.057 Å, I = 30
(0 0 1), d = 4.811 Å, I = 92
(2 0 -1), d = 4.579 Å, I = 23
(4 0 -1), d = 2.768 Å, I = 19
(2 2 0), d = 2.537 Å, I = 21
(4 0 0), d = 2.527 Å, I = 22
(2 2 -1), d = 2.470 Å, I = 38
(4 0 -2), d = 2.290 Å, I = 61
(2 2 1), d = 2.071 Å, I = 100
(6 2 -1), d = 1.566 Å, I = 30
(2 2 -3), d = 1.507 Å, I = 28
(4 0 2), d = 1.461 Å, I = 19

```
data_MgMn3Cu2O8
_chemical_formula_sum 'Mg2 Mn6 Cu4 O16'
_cell_length_a 11.146
_cell_length_b 5.868
_cell_length_c 5.305
_cell_angle_alpha 90.00
_cell_angle_beta 114.92
_cell_angle_gamma 90.00
_space_group_name_H-M_alt 'C 1 2/m 1'
_space_group_IT_number 12
loop_
_space_group_symop_operation_xyz
'x,y,z'
'-x,-y,-z'
'-x,y,-z'
'x,-y,z'
'x+1/2,y+1/2,z'
'-x+1/2,-y+1/2,-z'
'-x+1/2,y+1/2,-z'
'x+1/2,-y+1/2,z'
loop_
_atom_site_label
_atom_site_fract_x
_atom_site_fract_y
_atom_site_fract_z
Mg1 0.000 0.000 0.000
Mn1 0.000 0.247 0.500
Mn2 0.000 0.500 0.000
Cu1 0.250 0.000 0.504
O1 0.094 0.500 0.742
O2 0.095 0.000 0.740
O3 0.116 0.246 0.302
```

Computed powder diffraction line list
Compound: Li9Mn2Co5O16
Radiation: λ = 1.5418 Å (Cu Kα)
Structure: a crystal structure in the Materials Project, relaxed with GGA+U
Kinematic intensities with the Lorentz-polarization factor, no thermal factor.

Main lines, in order of rising 2θ (15° ≤ 2θ ≤ 90°):
(0 0 2), d = 4.819 Å, I = 100
(4 0 -2), d = 2.497 Å, I = 14
(2 1 0), d = 2.473 Å, I = 25
(4 0 0), d = 2.378 Å, I = 11
(4 0 -4), d = 2.083 Å, I = 28
(2 1 2), d = 2.058 Å, I = 54
(2 1 -4), d = 1.901 Å, I = 9
(2 1 4), d = 1.592 Å, I = 10
(2 1 -6), d = 1.470 Å, I = 15
(4 0 4), d = 1.464 Å, I = 7
(6 1 -2), d = 1.458 Å, I = 15
(0 2 0), d = 1.447 Å, I = 7

```
data_Li9Mn2Co5O16
_chemical_formula_sum 'Li9 Mn2 Co5 O16'
_cell_length_a 10.123
_cell_length_b 2.894
_cell_length_c 10.243
_cell_angle_alpha 90.00
_cell_angle_beta 109.80
_cell_angle_gamma 90.00
_space_group_name_H-M_alt 'P 1 2/m 1'
_space_group_IT_number 10
loop_
_space_group_symop_operation_xyz
'x,y,z'
'-x,-y,-z'
'-x,y,-z'
'x,-y,z'
loop_
_atom_site_label
_atom_site_fract_x
_atom_site_fract_y
_atom_site_fract_z
Li1 0.000 0.000 0.000
Li2 0.006 0.500 0.244
Li3 0.241 0.000 0.244
Li4 0.249 0.000 0.750
Li5 0.496 0.500 0.747
Mn1 0.247 0.500 0.003
Co1 0.000 0.000 0.500
Co2 0.250 0.500 0.502
Co3 0.500 0.000 0.000
Co4 0.500 0.000 0.500
O1 0.118 0.500 0.616
O2 0.132 0.000 0.384
O3 0.142 0.000 0.889
O4 0.142 0.500 0.118
O5 0.366 0.000 0.620
O6 0.374 0.000 0.107
O7 0.384 0.500 0.894
O8 0.387 0.500 0.392
```

Computed powder diffraction line list
Compound: TiV3Cu2P6O24
Radiation: λ = 1.5418 Å (Cu Kα)
Structure: a crystal structure in the Materials Project, relaxed with GGA+U
Kinematic intensities with the Lorentz-polarization factor, no thermal factor.

Main lines, in order of rising 2θ (15° ≤ 2θ ≤ 90°):
(1 1 0), d = 4.316 Å, I = 87
(1 1 3), d = 3.681 Å, I = 100
(2 0 2), d = 3.524 Å, I = 21
(2 1 1), d = 2.800 Å, I = 16
(1 1 6), d = 2.731 Å, I = 83
(3 0 0), d = 2.492 Å, I = 37
(1 2 8), d = 1.931 Å, I = 33
(4 -2 6), d = 1.841 Å, I = 27
(1 4 0), d = 1.631 Å, I = 40
(0 1 14), d = 1.481 Å, I = 23
(3 3 0), d = 1.439 Å, I = 13
(5 -3 14), d = 1.134 Å, I = 13

```
data_TiV3Cu2P6O24
_chemical_formula_sum 'Ti3 V9 Cu6 P18 O72'
_cell_length_a 8.6312
_cell_length_b 8.6312
_cell_length_c 21.1582
_cell_angle_alpha 90.00
_cell_angle_beta 90.00
_cell_angle_gamma 120.00
_space_group_name_H-M_alt 'R 3'
_space_group_IT_number 146
_space_group_name_Hall 'R 3'
loop_
_atom_site_label
_atom_site_fract_x
_atom_site_fract_y
_atom_site_fract_z
Ti1 0.0000 0.0000 0.0000
V1 0.0000 0.0000 0.2150
V2 0.0000 0.0000 0.5001
V3 0.0000 0.0000 0.7149
Cu1 0.0000 0.0000 0.3575
Cu2 0.0000 0.0000 0.8585
P1 0.9997 0.2904 0.1079
P2 0.0451 0.6681 0.2740
O1 0.0054 0.8127 0.5471
O2 0.0066 0.1907 0.0483
O3 0.0228 0.1869 0.7757
O4 0.0242 0.8371 0.2758
O5 0.1460 0.4719 0.8346
O6 0.1469 0.6746 0.3343
O7 0.1676 0.6900 0.6058
O8 0.1691 0.4794 0.1056
```

What is the formula in the seventh record?
TiV3Cu2P6O24